Entry 1:
Calculated X-ray powder pattern
Compound: Nb4Mo3Ir
Radiation: a wavelength of 1.5418 Å
Structure: DFT lattice parameters and positions (GGA-PBE)
Lines closer than 0.1° are merged.

Main lines, low angle first (2θ from 10° to 90°):
| d [Å] | two_theta | I (rel.) |
| --- | --- | --- |
| 2.284 | 39.5 | 100 |
| 2.267 | 39.8 | 20 |
| 1.623 | 56.7 | 7 |
| 1.608 | 57.3 | 13 |
| 1.322 | 71.3 | 7 |
| 1.320 | 71.5 | 7 |
| 1.317 | 71.6 | 13 |
| 1.312 | 72.0 | 13 |
| 1.142 | 84.9 | 9 |
| 1.140 | 85.1 | 2 |

Cell lengths 3.245, 4.561, 9.070 Å; angles 90.00, 90.00, 90.00 degrees
Atoms (fractional coordinates):
Nb 0.000 0.000 0.000
Nb 0.000 0.000 0.500
Nb 0.000 0.500 0.248
Nb 0.000 0.500 0.752
Mo 0.500 0.000 0.255
Mo 0.500 0.000 0.745
Mo 0.500 0.500 0.000
Ir 0.500 0.500 0.500

***

Entry 2:
Calculated X-ray powder pattern
Compound: Ni2MoIr
Radiation: a wavelength of 1.5418 Å
Structure: DFT lattice parameters and positions (GGA-PBE)
Lines closer than 0.1° are merged.

Main lines, low angle first (2θ from 10° to 90°):
| d [Å] | two_theta | I (rel.) |
| --- | --- | --- |
| 5.240 | 16.9 | 33 |
| 3.022 | 29.6 | 29 |
| 2.404 | 37.4 | 16 |
| 2.184 | 41.3 | 100 |
| 2.138 | 42.3 | 92 |
| 1.882 | 48.4 | 62 |
| 1.849 | 49.3 | 30 |
| 1.319 | 71.5 | 38 |
| 1.143 | 84.8 | 24 |
| 1.123 | 86.7 | 22 |

Cell lengths 2.706, 3.698, 5.240 Å; angles 90.00, 90.00, 90.00 degrees
Atoms (fractional coordinates):
Ni 0.000 0.000 0.000
Ni 0.500 0.500 0.219
Mo 0.500 0.500 0.745
Ir 0.000 0.000 0.483

***

Entry 3:
Calculated X-ray powder pattern
Compound: Ni3MoIr3
Radiation: a wavelength of 1.5418 Å
Structure: DFT lattice parameters and positions (GGA-PBE)
Lines closer than 0.1° are merged.

Main lines, low angle first (2θ from 10° to 90°):
| d [Å] | two_theta | I (rel.) |
| --- | --- | --- |
| 4.234 | 21.0 | 51 |
| 2.994 | 29.8 | 40 |
| 2.444 | 36.8 | 34 |
| 2.319 | 38.8 | 28 |
| 2.211 | 40.8 | 100 |
| 2.117 | 42.7 | 73 |
| 2.034 | 44.6 | 82 |
| 1.960 | 46.3 | 47 |
| 1.833 | 49.7 | 36 |
| 1.190 | 80.8 | 41 |

Cell lengths 7.333, 7.333, 7.333 Å; angles 90.00, 90.00, 90.00 degrees
Atoms (fractional coordinates):
Ni 0.042 0.458 0.542
Ni 0.138 0.862 0.362
Ni 0.143 0.143 0.143
Ni 0.357 0.857 0.643
Ni 0.362 0.138 0.862
Ni 0.458 0.542 0.042
Ni 0.542 0.042 0.458
Ni 0.638 0.638 0.638
Ni 0.643 0.357 0.857
Ni 0.857 0.643 0.357
Ni 0.862 0.362 0.138
Ni 0.958 0.958 0.958
Mo 0.173 0.673 0.827
Mo 0.327 0.327 0.327
Mo 0.673 0.827 0.173
Mo 0.827 0.173 0.673
Ir 0.078 0.334 0.869
Ir 0.131 0.578 0.166
Ir 0.166 0.131 0.578
Ir 0.334 0.869 0.078
Ir 0.369 0.422 0.666
Ir 0.422 0.666 0.369
Ir 0.578 0.166 0.131
Ir 0.631 0.922 0.834
Ir 0.666 0.369 0.422
Ir 0.834 0.631 0.922
Ir 0.869 0.078 0.334
Ir 0.922 0.834 0.631

***

Entry 4:
Calculated X-ray powder pattern
Compound: Ni6MoIr2
Radiation: a wavelength of 1.5418 Å
Structure: DFT lattice parameters and positions (GGA-PBE)
Lines closer than 0.1° are merged.

Main lines, low angle first (2θ from 10° to 90°):
| d [Å] | two_theta | I (rel.) |
| --- | --- | --- |
| 5.901 | 15.0 | 33 |
| 4.553 | 19.5 | 31 |
| 3.214 | 27.8 | 24 |
| 2.282 | 39.5 | 47 |
| 2.092 | 43.2 | 71 |
| 2.006 | 45.2 | 97 |
| 2.000 | 45.3 | 100 |
| 1.967 | 46.1 | 45 |
| 1.956 | 46.4 | 43 |
| 1.293 | 73.2 | 28 |

Cell lengths 6.177, 6.189, 6.678 Å; angles 116.40, 94.03, 99.64 degrees
Atoms (fractional coordinates):
Ni 0.039 0.315 0.027
Ni 0.076 0.130 0.302
Ni 0.262 0.208 0.699
Ni 0.294 0.016 0.967
Ni 0.369 0.647 0.032
Ni 0.406 0.456 0.295
Ni 0.594 0.544 0.705
Ni 0.631 0.353 0.968
Ni 0.706 0.984 0.033
Ni 0.738 0.792 0.301
Ni 0.924 0.870 0.698
Ni 0.961 0.685 0.973
Mo 0.147 0.760 0.361
Mo 0.853 0.240 0.639
Ir 0.187 0.574 0.647
Ir 0.476 0.090 0.354
Ir 0.524 0.910 0.646
Ir 0.813 0.426 0.353